# 1
Starting from a cell relaxed with PBE, the powder diffraction line list of SrCu2Sn4 was computed for λ = 1.5418 Å (Cu Kα).

Peak list (10 most intense, 10 to 80 degrees two-theta, by angle)
- (4 1 0), 26.5°, intensity 16
- (5 1 1), 32.1°, intensity 57
- (2 1 2), 32.6°, intensity 100
- (7 0 1), 33.3°, intensity 64
- (3 0 3), 39.0°, intensity 23
- (0 2 0), 40.1°, intensity 48
- (6 1 2), 41.5°, intensity 33
- (7 2 1), 53.1°, intensity 19
- (12 1 0), 58.5°, intensity 18
- (9 1 3), 59.4°, intensity 27

Structure:
Cell: 20.2118 4.4982 7.3815 Å, 90.00 90.00 90.00°
Positions (direct):
Sr1 0.1390 0.2500 0.0097
Sr2 0.3610 0.7500 0.5097
Sr3 0.6390 0.2500 0.4903
Sr4 0.8610 0.7500 0.9903
Cu1 0.0431 0.7500 0.7461
Cu2 0.2142 0.2500 0.4921
Cu3 0.2858 0.7500 0.9921
Cu4 0.4569 0.2500 0.2461
Cu5 0.5431 0.7500 0.7539
Cu6 0.7142 0.2500 0.0079
Cu7 0.7858 0.7500 0.5079
Cu8 0.9569 0.2500 0.2539
Sn1 0.0255 0.7500 0.1446
Sn2 0.0676 0.2500 0.5049
Sn3 0.1829 0.7500 0.6998
Sn4 0.1993 0.7500 0.2917
Sn5 0.3007 0.2500 0.7917
Sn6 0.3171 0.2500 0.1998
Sn7 0.4324 0.7500 0.0049
Sn8 0.4745 0.2500 0.6446
Sn9 0.5255 0.7500 0.3554
Sn10 0.5676 0.2500 0.9951
Sn11 0.6829 0.7500 0.8002
Sn12 0.6993 0.7500 0.2083
Sn13 0.8007 0.2500 0.7083
Sn14 0.8171 0.2500 0.3002
Sn15 0.9324 0.7500 0.4951
Sn16 0.9745 0.2500 0.8554


# 2
Starting from a cell relaxed with PBE, the powder diffraction line list of AcDy3 was computed for λ = 1.5418 Å (Cu Kα).

Peak list (10 most intense, 10 to 80 degrees two-theta, by angle)
- (1 0 0), 17.2°, intensity 2
- (1 1 0), 24.4°, intensity 2
- (1 1 1), 30.0°, intensity 100
- (2 0 0), 34.7°, intensity 51
- (2 1 0), 39.0°, intensity 1
- (2 1 1), 42.9°, intensity 1
- (2 2 0), 50.0°, intensity 37
- (3 1 1), 59.4°, intensity 44
- (2 2 2), 62.3°, intensity 13
- (4 0 0), 73.3°, intensity 6

Structure:
Cell: 5.1638 5.1638 5.1638 Å, 90.00 90.00 90.00°
Positions (direct):
Ac1 0.0000 0.0000 0.0000
Dy1 0.0000 0.5000 0.5000
Dy2 0.5000 0.0000 0.5000
Dy3 0.5000 0.5000 0.0000